# 1
Calculated PXRD pattern of MnCd3 for copper Kα, from a structure optimized by DFT (PBE).
Kinematic intensities with the Lorentz-polarization factor, no thermal factor.

a b c (Å): 4.297 4.297 4.297
angles (deg): 90.00 90.00 90.00
Positions (direct):
Mn1 0.000 0.000 0.000
Cd1 0.000 0.500 0.500
Cd2 0.500 0.000 0.500
Cd3 0.500 0.500 0.000

Top 6 peaks for 10 to 90 degrees two-theta, in order of rising 2θ:
d (Å)  I (rel.)
4.297  6
2.481  100
2.149  49
1.519  31
1.296  35
1.240  10

***

# 2
Calculated PXRD pattern of Cu29Se19 for copper Kα, from a structure optimized by DFT (PBE).
Kinematic intensities with the Lorentz-polarization factor, no thermal factor.

a b c (Å): 4.038 4.038 62.677
angles (deg): 91.83 91.83 59.98
Positions (direct):
Cu1 0.000 0.000 0.000
Cu2 0.052 0.052 0.156
Cu3 0.079 0.079 0.236
Cu4 0.104 0.104 0.312
Cu5 0.132 0.132 0.395
Cu6 0.158 0.158 0.474
Cu7 0.184 0.184 0.553
Cu8 0.211 0.211 0.632
Cu9 0.237 0.237 0.712
Cu10 0.263 0.263 0.788
Cu11 0.316 0.316 0.947
Cu12 0.369 0.369 0.105
Cu13 0.422 0.422 0.264
Cu14 0.447 0.447 0.341
Cu15 0.474 0.474 0.421
Cu16 0.500 0.500 0.500
Cu17 0.526 0.526 0.579
Cu18 0.553 0.553 0.659
Cu19 0.579 0.579 0.738
Cu20 0.605 0.605 0.815
Cu21 0.632 0.632 0.895
Cu22 0.684 0.684 0.053
Cu23 0.736 0.736 0.209
Cu24 0.789 0.789 0.368
Cu25 0.816 0.816 0.448
Cu26 0.842 0.842 0.526
Cu27 0.869 0.869 0.606
Cu28 0.895 0.895 0.686
Cu29 0.948 0.948 0.845
Se1 0.013 0.013 0.040
Se2 0.065 0.065 0.196
Se3 0.118 0.118 0.356
Se4 0.171 0.171 0.513
Se5 0.223 0.223 0.671
Se6 0.277 0.277 0.831
Se7 0.329 0.329 0.987
Se8 0.382 0.382 0.145
Se9 0.434 0.434 0.302
Se10 0.487 0.487 0.461
Se11 0.539 0.539 0.618
Se12 0.592 0.592 0.776
Se13 0.645 0.645 0.934
Se14 0.698 0.698 0.092
Se15 0.751 0.751 0.251
Se16 0.803 0.803 0.408
Se17 0.855 0.855 0.566
Se18 0.909 0.909 0.725
Se19 0.961 0.961 0.883

Top 6 peaks for 10 to 90 degrees two-theta, in order of rising 2θ:
d (Å)  I (rel.)
3.297  59
2.019  100
1.722  26
1.427  15
1.310  10
1.165  30

***

# 3
Calculated PXRD pattern of NaPbN for copper Kα, from a structure optimized by DFT (PBE).
Kinematic intensities with the Lorentz-polarization factor, no thermal factor.

a b c (Å): 11.500 3.488 6.272
angles (deg): 90.00 90.00 90.00
Positions (direct):
Na1 0.106 0.250 0.004
Na2 0.394 0.750 0.504
Na3 0.606 0.250 0.496
Na4 0.894 0.750 0.996
Pb1 0.124 0.250 0.482
Pb2 0.376 0.750 0.982
Pb3 0.624 0.250 0.018
Pb4 0.876 0.750 0.518
N1 0.038 0.750 0.288
N2 0.462 0.250 0.788
N3 0.538 0.750 0.212
N4 0.962 0.250 0.712

Top 6 peaks for 10 to 90 degrees two-theta, in order of rising 2θ:
d (Å)  I (rel.)
5.506  100
3.136  36
2.982  70
2.946  44
2.875  31
2.161  70